Record 1
Computed powder diffraction line list
Compound: AgSb4Te7
Radiation: Cu Kα, 1.54184 Å
Structure: a PBE-relaxed structure
No peak broadening, texture or thermal motion is included.

Largest 6 diffraction maxima, most intense first, 10° ≤ 2θ ≤ 90°:
d [Å]  2θ/deg  I_rel  hkl
3.165  28.2  100  1 0 4
2.152  42.0  40  1 1 0
2.334  38.6  27  0 1 8
1.780  51.3  19  0 2 4
1.372  68.4  15  2 1 4
2.015  45.0  12  0 1 10

Atomic structure:
```
data_AgSb4Te7
_chemical_formula_sum 'Ag1 Sb4 Te7'
_cell_length_a 4.3049
_cell_length_b 4.3049
_cell_length_c 23.9518
_cell_angle_alpha 90.00
_cell_angle_beta 90.00
_cell_angle_gamma 120.00
_symmetry_space_group_name_H-M 'P -3 m 1'
_symmetry_Int_Tables_number 164
_symmetry_space_group_name_Hall '-P 3 2"'
loop_
_atom_site_label
_atom_site_type_symbol
_atom_site_fract_x
_atom_site_fract_y
_atom_site_fract_z
Ag1 Ag 0.0000 0.0000 0.0000
Sb1 Sb 0.3333 0.6667 0.1484
Sb2 Sb 0.3333 0.6667 0.4164
Te1 Te 0.0000 0.0000 0.2208
Te2 Te 0.0000 0.0000 0.5000
Te3 Te 0.3333 0.6667 0.6558
Te4 Te 0.3333 0.6667 0.9318
```



Record 2
Computed powder diffraction line list
Compound: CsMgB2H8
Radiation: Cu Kα, 1.54184 Å
Structure: a PBE-relaxed structure
No peak broadening, texture or thermal motion is included.

Largest 6 diffraction maxima, most intense first, 10° ≤ 2θ ≤ 90°:
d [Å]  2θ/deg  I_rel  hkl
2.916  30.7  100  2 2 0
4.762  18.6  75  1 1 1
4.124  21.5  66  2 0 0
2.487  36.1  47  3 1 1
1.684  54.5  35  4 2 2
1.844  49.4  34  4 2 0

Atomic structure:
```
data_CsMgB2H8
_chemical_formula_sum 'Cs4 Mg4 B8 H32'
_cell_length_a 8.247
_cell_length_b 8.247
_cell_length_c 8.247
_cell_angle_alpha 90.00
_cell_angle_beta 90.00
_cell_angle_gamma 90.00
_symmetry_space_group_name_H-M 'F m -3 m'
_symmetry_Int_Tables_number 225
_symmetry_space_group_name_Hall '-F 4 2 3'
loop_
_atom_site_label
_atom_site_type_symbol
_atom_site_fract_x
_atom_site_fract_y
_atom_site_fract_z
Cs1 Cs 0.000 0.000 0.000
Mg1 Mg 0.000 0.000 0.500
B1 B 0.250 0.250 0.250
H1 H 0.163 0.163 0.337
```



Record 3
Computed powder diffraction line list
Compound: Li2Tm5In5
Radiation: Cu Kα, 1.54184 Å
Structure: a PBE-relaxed structure
No peak broadening, texture or thermal motion is included.

Largest 6 diffraction maxima, most intense first, 10° ≤ 2θ ≤ 90°:
d [Å]  2θ/deg  I_rel  hkl
2.490  36.1  100  3 1 -1
2.861  31.3  74  1 1 -4
3.009  29.7  52  2 0 -4
2.507  35.8  51  0 2 0
2.584  34.7  43  1 1 4
2.851  31.4  37  2 0 3

Atomic structure:
```
data_Li2Tm5In5
_chemical_formula_sum 'Li4 Tm10 In10'
_cell_length_a 8.605
_cell_length_b 5.014
_cell_length_c 14.262
_cell_angle_alpha 90.00
_cell_angle_beta 101.65
_cell_angle_gamma 90.00
_symmetry_space_group_name_H-M 'C 1 2/m 1'
_symmetry_Int_Tables_number 12
loop_
_symmetry_equiv_pos_as_xyz
'x,y,z'
'-x,-y,-z'
'-x,y,-z'
'x,-y,z'
'x+1/2,y+1/2,z'
'-x+1/2,-y+1/2,-z'
'-x+1/2,y+1/2,-z'
'x+1/2,-y+1/2,z'
loop_
_atom_site_label
_atom_site_type_symbol
_atom_site_fract_x
_atom_site_fract_y
_atom_site_fract_z
Li1 Li 0.067 0.000 0.213
Tm1 Tm 0.000 0.500 0.500
Tm2 Tm 0.192 0.500 0.083
Tm3 Tm 0.228 0.000 0.672
In1 In 0.000 0.000 0.000
In2 In 0.102 0.500 0.794
In3 In 0.139 0.000 0.423
```



Record 4
Computed powder diffraction line list
Compound: ZnGa2CoGe
Radiation: Cu Kα, 1.54184 Å
Structure: a PBE-relaxed structure
No peak broadening, texture or thermal motion is included.

Largest 6 diffraction maxima, most intense first, 10° ≤ 2θ ≤ 90°:
d [Å]  2θ/deg  I_rel  hkl
2.633  34.1  100  1 1 1
2.307  39.0  81  2 0 0
1.603  57.5  50  2 0 2
2.228  40.5  36  0 0 2
1.631  56.4  26  2 2 0
1.387  67.6  26  3 1 1

Atomic structure:
```
data_ZnGa2CoGe
_chemical_formula_sum 'Zn1 Ga2 Co1 Ge1'
_cell_length_a 4.614
_cell_length_b 4.614
_cell_length_c 4.457
_cell_angle_alpha 90.00
_cell_angle_beta 90.00
_cell_angle_gamma 90.00
_symmetry_space_group_name_H-M 'P 4/m m m'
_symmetry_Int_Tables_number 123
_symmetry_space_group_name_Hall '-P 4 2'
loop_
_atom_site_label
_atom_site_type_symbol
_atom_site_fract_x
_atom_site_fract_y
_atom_site_fract_z
Zn1 Zn 0.000 0.000 0.000
Ga1 Ga 0.000 0.500 0.500
Co1 Co 0.500 0.500 0.500
Ge1 Ge 0.500 0.500 0.000
```



Record 5
Computed powder diffraction line list
Compound: SiNi6Pt
Radiation: Cu Kα, 1.54184 Å
Structure: a PBE-relaxed structure
No peak broadening, texture or thermal motion is included.

Largest 6 diffraction maxima, most intense first, 10° ≤ 2θ ≤ 90°:
d [Å]  2θ/deg  I_rel  hkl
2.068  43.8  100  2 4 0
1.794  50.9  31  0 4 4
1.266  75.1  19  4 4 4
1.785  51.2  16  4 0 0
5.838  15.2  10  1 1 0
3.833  23.2  8  1 1 2

Atomic structure:
```
data_SiNi6Pt
_chemical_formula_sum 'Si8 Ni48 Pt8'
_cell_length_a 7.140
_cell_length_b 10.140
_cell_length_c 10.161
_cell_angle_alpha 90.00
_cell_angle_beta 90.00
_cell_angle_gamma 90.00
_symmetry_space_group_name_H-M 'C m m m'
_symmetry_Int_Tables_number 65
_symmetry_space_group_name_Hall '-C 2 2'
loop_
_atom_site_label
_atom_site_type_symbol
_atom_site_fract_x
_atom_site_fract_y
_atom_site_fract_z
Si1 Si 0.000 0.000 0.247
Si2 Si 0.000 0.253 0.000
Ni1 Ni 0.000 0.000 0.000
Ni2 Ni 0.000 0.000 0.500
Ni3 Ni 0.000 0.245 0.240
Ni4 Ni 0.000 0.500 0.000
Ni5 Ni 0.000 0.500 0.500
Ni6 Ni 0.242 0.123 0.369
Ni7 Ni 0.245 0.127 0.120
Pt1 Pt 0.000 0.253 0.500
Pt2 Pt 0.000 0.500 0.250
```



Record 6
Computed powder diffraction line list
Compound: AcLa4HoTm2
Radiation: Cu Kα, 1.54184 Å
Structure: a PBE-relaxed structure
No peak broadening, texture or thermal motion is included.

Largest 6 diffraction maxima, most intense first, 10° ≤ 2θ ≤ 90°:
d [Å]  2θ/deg  I_rel  hkl
3.009  29.7  100  3 1 -2
2.623  34.2  34  0 2 0
1.579  58.5  29  3 3 -2
1.837  49.6  24  4 2 0
2.574  34.9  16  4 0 0
1.505  61.6  13  6 2 -4

Atomic structure:
```
data_AcLa4HoTm2
_chemical_formula_sum 'Ac2 La8 Ho2 Tm4'
_cell_length_a 11.561
_cell_length_b 5.242
_cell_length_c 10.498
_cell_angle_alpha 90.00
_cell_angle_beta 117.07
_cell_angle_gamma 90.00
_symmetry_space_group_name_H-M 'C 1 2/m 1'
_symmetry_Int_Tables_number 12
loop_
_symmetry_equiv_pos_as_xyz
'x,y,z'
'-x,-y,-z'
'-x,y,-z'
'x,-y,z'
'x+1/2,y+1/2,z'
'-x+1/2,-y+1/2,-z'
'-x+1/2,y+1/2,-z'
'x+1/2,-y+1/2,z'
loop_
_atom_site_label
_atom_site_type_symbol
_atom_site_fract_x
_atom_site_fract_y
_atom_site_fract_z
Ac1 Ac 0.000 0.000 0.000
La1 La 0.246 0.000 0.869
La2 La 0.248 0.500 0.622
Ho1 Ho 0.000 0.000 0.500
Tm1 Tm 0.000 0.500 0.257
```